Pr5Sm5Sn6: calculated powder diffractogram (a wavelength of 1.5418 Å), based on a GGA-PBE-relaxed structure.

Principal peaks in the range 2θ = 5–70°, sorted by position:
| 2θ/deg | d [Å] | intensity |
| --- | --- | --- |
| 26.08 | 3.417 | 18 |
| 28.38 | 3.145 | 19 |
| 29.38 | 3.040 | 31 |
| 32.23 | 2.777 | 100 |
| 32.54 | 2.752 | 76 |
| 33.42 | 2.681 | 40 |
| 47.34 | 1.920 | 20 |
| 50.04 | 1.823 | 29 |
| 64.01 | 1.455 | 12 |
| 64.70 | 1.441 | 12 |

Atomic structure:
```
Pr5Sm5Sn6
1.0
6.833 0.000 0.000
0.000 8.054 4.637
0.000 -8.054 4.637
Pr Sm Sn
5 5 6
Cartesian
0.000 0.000 0.000
1.710 -2.681 2.422
1.710 2.681 2.422
5.123 -2.681 2.422
5.123 2.681 2.422
0.000 -1.943 5.946
0.000 1.943 5.946
3.417 -6.106 3.538
3.417 0.000 4.841
3.417 6.106 3.538
0.000 -4.874 4.238
0.000 0.000 3.445
0.000 4.874 4.238
3.417 0.000 1.413
3.417 -3.151 5.244
3.417 3.151 5.244
```



ErCd6Au: calculated powder diffractogram (a wavelength of 1.5418 Å), based on a GGA-PBE-relaxed structure.

Principal peaks in the range 2θ = 5–70°, sorted by position:
| 2θ/deg | d [Å] | intensity |
| --- | --- | --- |
| 31.98 | 2.799 | 26 |
| 33.26 | 2.694 | 32 |
| 34.03 | 2.634 | 63 |
| 37.01 | 2.429 | 42 |
| 38.20 | 2.356 | 100 |
| 50.60 | 1.804 | 19 |
| 53.53 | 1.712 | 12 |
| 62.23 | 1.492 | 10 |
| 66.86 | 1.399 | 12 |
| 67.49 | 1.388 | 20 |

Atomic structure:
```
ErCd6Au
1.0
4.858 0.000 0.000
0.000 5.967 0.000
0.000 0.000 12.543
Er Cd Au
2 12 2
Cartesian
0.000 0.000 0.000
0.000 2.983 6.271
0.000 1.439 9.224
0.000 1.545 2.953
0.000 4.422 2.953
0.000 4.528 9.224
2.429 0.000 2.000
2.429 0.000 7.523
2.429 1.450 11.103
2.429 1.534 4.832
2.429 2.983 1.251
2.429 2.983 8.271
2.429 4.433 4.832
2.429 4.517 11.103
0.000 0.000 5.527
0.000 2.983 11.798
```



LaEuTmSn: calculated powder diffractogram (a wavelength of 1.5418 Å), based on a GGA-PBE-relaxed structure.

Principal peaks in the range 2θ = 5–70°, sorted by position:
| 2θ/deg | d [Å] | intensity |
| --- | --- | --- |
| 19.59 | 4.532 | 1 |
| 32.26 | 2.775 | 100 |
| 38.02 | 2.367 | 1 |
| 46.27 | 1.962 | 18 |
| 57.52 | 1.602 | 39 |
| 67.50 | 1.388 | 12 |

Atomic structure:
```
LaEuTmSn
1.0
7.849 0.000 0.000
0.000 7.849 0.000
0.000 0.000 7.849
La Eu Tm Sn
4 4 4 4
Cartesian
0.000 0.000 0.000
0.000 3.925 3.925
3.925 0.000 3.925
3.925 3.925 0.000
1.962 1.962 5.887
1.962 5.887 1.962
5.887 1.962 1.962
5.887 5.887 5.887
0.000 0.000 3.925
0.000 3.925 0.000
3.925 0.000 0.000
3.925 3.925 3.925
1.962 1.962 1.962
1.962 5.887 5.887
5.887 1.962 5.887
5.887 5.887 1.962
```



Cd5As3: calculated powder diffractogram (a wavelength of 1.5418 Å), based on a GGA-PBE-relaxed structure.

Principal peaks in the range 2θ = 5–70°, sorted by position:
| 2θ/deg | d [Å] | intensity |
| --- | --- | --- |
| 23.43 | 3.796 | 63 |
| 26.87 | 3.318 | 89 |
| 28.45 | 3.137 | 100 |
| 28.58 | 3.123 | 79 |
| 32.60 | 2.747 | 69 |
| 32.87 | 2.725 | 62 |
| 34.63 | 2.591 | 76 |
| 35.16 | 2.552 | 56 |
| 35.50 | 2.529 | 63 |
| 37.21 | 2.416 | 84 |

Atomic structure:
```
Cd5As3
1.0
6.656 0.000 0.000
0.534 7.593 0.000
3.248 -0.064 7.892
Cd As
10 6
Cartesian
0.000 0.000 0.000
0.828 3.726 1.222
1.959 0.848 2.952
4.083 3.438 4.729
4.438 6.817 4.704
4.129 3.456 1.164
4.530 6.841 1.077
6.560 0.069 5.837
6.706 6.647 2.934
7.588 3.759 4.616
2.597 5.365 2.944
4.593 5.007 6.874
2.340 1.401 0.379
7.059 5.010 6.906
5.877 2.382 2.957
8.961 1.382 5.556
```